Record 1
This entry pairs a crystal structure of MnTePd with its theoretical powder diffraction line list. Radiation: a wavelength of 1.5418 Å. Structure: a PBE-relaxed structure.
No peak broadening, texture or thermal motion is included.

Largest 8 diffraction maxima, sorted by position, 2θ from 5° to 70°:
| 2θ/deg | d_spacing | I_rel | (hkl) |
| --- | --- | --- | --- |
| 24.3 | 3.661 | 50 | 1 1 1 |
| 28.1 | 3.171 | 8 | 2 0 0 |
| 40.2 | 2.242 | 100 | 2 2 0 |
| 47.6 | 1.912 | 24 | 3 1 1 |
| 49.8 | 1.831 | 2 | 2 2 2 |
| 58.2 | 1.585 | 16 | 4 0 0 |
| 64.0 | 1.455 | 10 | 3 3 1 |
| 65.9 | 1.418 | 3 | 4 2 0 |

Structure:
```
data_MnTePd
_chemical_formula_sum 'Mn4 Te4 Pd4'
_symmetry_space_group_name_H-M 'F -4 3 m'
_symmetry_Int_Tables_number 216
_symmetry_space_group_name_Hall 'F -4 2 3'
_cell_length_a 6.3417
_cell_length_b 6.3417
_cell_length_c 6.3417
_cell_angle_alpha 90.00
_cell_angle_beta 90.00
_cell_angle_gamma 90.00
loop_
_atom_site_label
_atom_site_type_symbol
_atom_site_fract_x
_atom_site_fract_y
_atom_site_fract_z
Mn1 Mn 0.0000 0.0000 0.0000
Te1 Te 0.0000 0.0000 0.5000
Pd1 Pd 0.2500 0.2500 0.2500
```

Record 2
This entry pairs a crystal structure of MnTePd with its theoretical powder diffraction line list. Radiation: a wavelength of 1.5418 Å. Structure: a PBE-relaxed structure.
No peak broadening, texture or thermal motion is included.

Largest 8 diffraction maxima, sorted by position, 2θ from 5° to 70°:
| 2θ/deg | d_spacing | I_rel | (hkl) |
| --- | --- | --- | --- |
| 24.2 | 3.671 | 55 | 1 1 1 |
| 28.1 | 3.179 | 3 | 2 0 0 |
| 40.1 | 2.248 | 100 | 2 2 0 |
| 47.4 | 1.917 | 27 | 3 1 1 |
| 49.7 | 1.836 | 1 | 2 2 2 |
| 58.0 | 1.590 | 16 | 4 0 0 |
| 63.8 | 1.459 | 11 | 3 3 1 |
| 65.7 | 1.422 | 1 | 4 2 0 |

Structure:
```
data_MnTePd
_chemical_formula_sum 'Mn4 Te4 Pd4'
_symmetry_space_group_name_H-M 'F -4 3 m'
_symmetry_Int_Tables_number 216
_symmetry_space_group_name_Hall 'F -4 2 3'
_cell_length_a 6.3584
_cell_length_b 6.3584
_cell_length_c 6.3584
_cell_angle_alpha 90.00
_cell_angle_beta 90.00
_cell_angle_gamma 90.00
loop_
_atom_site_label
_atom_site_type_symbol
_atom_site_fract_x
_atom_site_fract_y
_atom_site_fract_z
Mn1 Mn 0.0000 0.0000 0.0000
Te1 Te 0.2500 0.2500 0.2500
Pd1 Pd 0.0000 0.0000 0.5000
```

Record 3
This entry pairs a crystal structure of Pr6Mn23 with its theoretical powder diffraction line list. Radiation: a wavelength of 1.5418 Å. Structure: a PBE-relaxed structure.
No peak broadening, texture or thermal motion is included.

Largest 10 diffraction maxima, sorted by position, 2θ from 5° to 70°:
| 2θ/deg | d_spacing | I_rel | (hkl) |
| --- | --- | --- | --- |
| 25.3 | 3.527 | 27 | 2 2 2 |
| 29.2 | 3.054 | 22 | 4 0 0 |
| 31.9 | 2.803 | 29 | 3 3 1 |
| 36.0 | 2.494 | 32 | 4 2 2 |
| 38.3 | 2.351 | 100 | 3 3 3 |
| 41.8 | 2.160 | 99 | 4 4 0 |
| 44.5 | 2.036 | 16 | 6 0 0 |
| 53.6 | 1.711 | 18 | 5 5 1 |
| 62.2 | 1.493 | 25 | 7 3 3 |
| 64.7 | 1.440 | 28 | 8 2 2 |

Structure:
```
data_Pr6Mn23
_chemical_formula_sum 'Pr24 Mn92'
_symmetry_space_group_name_H-M 'F m -3 m'
_symmetry_Int_Tables_number 225
_symmetry_space_group_name_Hall '-F 4 2 3'
_cell_length_a 12.2168
_cell_length_b 12.2168
_cell_length_c 12.2168
_cell_angle_alpha 90.00
_cell_angle_beta 90.00
_cell_angle_gamma 90.00
loop_
_atom_site_label
_atom_site_type_symbol
_atom_site_fract_x
_atom_site_fract_y
_atom_site_fract_z
Pr1 Pr 0.0000 0.0000 0.2049
Mn1 Mn 0.0000 0.0000 0.5000
Mn2 Mn 0.0000 0.2500 0.2500
Mn3 Mn 0.1200 0.1200 0.3800
Mn4 Mn 0.1812 0.1812 0.1812
```